Starting from a cell relaxed with PBE, the XRD peak list of BaSrRhO4 was computed for Cu Kα, 1.54184 Å.
Intensities are scaled so that the largest is 1000.

Top 12 peaks for 2θ = 10–80°, most intense first:
30.2 deg, I = 1000
31.6 deg, I = 633
55.4 deg, I = 371
45.3 deg, I = 324
52.9 deg, I = 179
13.5 deg, I = 154
62.9 deg, I = 151
41.3 deg, I = 143
41.1 deg, I = 139
42.1 deg, I = 105
75.0 deg, I = 103
66.0 deg, I = 99

```
BaSrRhO4
1.0
-2.003 2.003 6.564
2.003 -2.003 6.564
2.003 2.003 -6.564
Ba Sr Rh O
1 1 1 4
Direct
0.000 0.000 0.000 Ba
0.711 0.711 0.000 Sr
0.353 0.353 0.000 Rh
0.196 0.196 0.000 O
0.344 0.844 0.500 O
0.513 0.513 0.000 O
0.844 0.344 0.500 O
```